The following is a calculated XRD peak list of Zr2ScTe4. It was derived from a crystal structure in Alexandria, relaxed with PBE, using Cu Kα, 1.54184 Å.
Neutral-atom scattering factors, no anomalous dispersion.

Top 10 peaks for 5° ≤ 2θ ≤ 70°, by angle:
2θ/deg  I (rel.)
27.88  16
28.26  49
28.74  100
28.93  21
35.94  19
36.70  28
37.00  41
44.23  40
45.77  22
47.82  16

Atomic structure:
a b c (Å): 15.378 3.965 7.176
angles (deg): 90.00 116.89 90.00
Element x y z (fractional)
Zr 0.249 0.000 0.204
Zr 0.251 0.500 0.796
Zr 0.749 0.500 0.204
Zr 0.751 0.000 0.796
Sc 0.000 0.500 0.500
Sc 0.500 0.000 0.500
Te 0.107 0.500 0.951
Te 0.133 0.000 0.463
Te 0.367 0.500 0.537
Te 0.393 0.000 0.049
Te 0.607 0.000 0.951
Te 0.633 0.500 0.463
Te 0.867 0.000 0.537
Te 0.893 0.500 0.049